Record 1
Structure and theoretical X-ray powder pattern of Na5B9C (a GGA-PBE-relaxed structure; Cu Kα X-rays).

The 10 most intense peaks (2θ = 10–90°), sorted by position:
| Position (°2θ) | d_spacing | I_rel |
| --- | --- | --- |
| 33.01 | 2.713 | 31 |
| 35.94 | 2.498 | 32 |
| 38.96 | 2.312 | 49 |
| 39.25 | 2.296 | 48 |
| 41.42 | 2.180 | 73 |
| 41.60 | 2.171 | 100 |
| 41.73 | 2.164 | 99 |
| 60.88 | 1.522 | 37 |
| 76.04 | 1.252 | 17 |
| 76.60 | 1.244 | 17 |

Cell lengths 11.9654, 11.9654, 10.3065 Å; angles 104.89, 104.89, 13.51 degrees
Atoms (fractional coordinates):
Na1 0.0000 0.0000 0.0000
Na2 0.0995 0.0995 0.6975
Na3 0.1992 0.1992 0.3991
Na4 0.3004 0.3004 0.1003
Na5 0.4009 0.4009 0.8011
Na6 0.5000 0.5000 0.5000
Na7 0.5991 0.5991 0.1989
Na8 0.6996 0.6996 0.8997
Na9 0.8008 0.8008 0.6009
Na10 0.9005 0.9005 0.3025
B1 0.0124 0.0124 0.2747
B2 0.0763 0.0763 0.4033
B3 0.1156 0.1156 0.9822
B4 0.1771 0.1771 0.1047
B5 0.2197 0.2197 0.6898
B6 0.2815 0.2815 0.8129
B7 0.3212 0.3212 0.3922
B8 0.3836 0.3836 0.5162
B9 0.4249 0.4249 0.0992
B10 0.5751 0.5751 0.9008
B11 0.6164 0.6164 0.4838
B12 0.6788 0.6788 0.6078
B13 0.7185 0.7185 0.1871
B14 0.7803 0.7803 0.3102
B15 0.8229 0.8229 0.8953
B16 0.8844 0.8844 0.0178
B17 0.9237 0.9237 0.5967
B18 0.9876 0.9876 0.7253
C1 0.4822 0.4822 0.2137
C2 0.5178 0.5178 0.7863

***

Record 2
Structure and theoretical X-ray powder pattern of Na5B8C2 (a GGA-PBE-relaxed structure; Cu Kα X-rays).

The 10 most intense peaks (2θ = 10–90°), sorted by position:
| Position (°2θ) | d_spacing | I_rel |
| --- | --- | --- |
| 34.79 | 2.579 | 15 |
| 35.56 | 2.525 | 24 |
| 40.75 | 2.214 | 66 |
| 41.41 | 2.181 | 100 |
| 41.49 | 2.177 | 33 |
| 41.83 | 2.159 | 49 |
| 62.80 | 1.480 | 12 |
| 62.94 | 1.477 | 12 |
| 78.34 | 1.221 | 11 |
| 78.46 | 1.219 | 11 |

Cell lengths 5.0455, 7.7630, 9.1279 Å; angles 107.77, 90.50, 107.63 degrees
Atoms (fractional coordinates):
Na1 0.0000 0.0000 0.0000
Na2 0.1028 0.2002 0.4978
Na3 0.2018 0.4013 0.0008
Na4 0.2987 0.6005 0.5009
Na5 0.3973 0.7996 0.9993
Na6 0.5000 0.0000 0.5000
Na7 0.6027 0.2004 0.0007
Na8 0.7013 0.3995 0.4991
Na9 0.7982 0.5987 0.9992
Na10 0.8972 0.7998 0.5022
B1 0.0160 0.6858 0.7495
B2 0.1092 0.8996 0.2498
B3 0.1808 0.6880 0.2494
B4 0.2455 0.1193 0.7503
B5 0.2725 0.8934 0.7491
B6 0.3287 0.3058 0.2503
B7 0.3756 0.0931 0.2505
B8 0.4009 0.4884 0.7505
B9 0.5991 0.5116 0.2495
B10 0.6244 0.9069 0.7495
B11 0.6713 0.6942 0.7497
B12 0.7275 0.1066 0.2509
B13 0.7545 0.8807 0.2497
B14 0.8192 0.3120 0.7506
B15 0.8908 0.1004 0.7502
B16 0.9840 0.3142 0.2505
C1 0.0812 0.4951 0.7505
C2 0.4915 0.3038 0.7511
C3 0.5085 0.6962 0.2489
C4 0.9188 0.5049 0.2495

***

Record 3
Structure and theoretical X-ray powder pattern of Na5B8C2 (a GGA-PBE-relaxed structure; Cu Kα X-rays).

The 10 most intense peaks (2θ = 10–90°), sorted by position:
| Position (°2θ) | d_spacing | I_rel |
| --- | --- | --- |
| 33.94 | 2.641 | 15 |
| 36.08 | 2.489 | 19 |
| 39.95 | 2.256 | 28 |
| 40.05 | 2.252 | 28 |
| 41.82 | 2.160 | 100 |
| 41.90 | 2.156 | 57 |
| 56.37 | 1.632 | 11 |
| 62.13 | 1.494 | 20 |
| 76.35 | 1.247 | 15 |
| 80.26 | 1.196 | 11 |

Cell lengths 9.1456, 9.1456, 13.6695 Å; angles 112.11, 112.11, 17.75 degrees
Atoms (fractional coordinates):
Na1 0.0000 0.0000 0.0000
Na2 0.0000 0.0000 0.5000
Na3 0.1995 0.1995 0.3976
Na4 0.1998 0.1998 0.9005
Na5 0.4011 0.4011 0.2986
Na6 0.4013 0.4013 0.8013
Na7 0.5987 0.5987 0.1987
Na8 0.5989 0.5989 0.7014
Na9 0.8002 0.8002 0.0995
Na10 0.8005 0.8005 0.6024
B1 0.0301 0.0301 0.8119
B2 0.0351 0.0351 0.3196
B3 0.1618 0.1618 0.0733
B4 0.1672 0.1672 0.5850
B5 0.2273 0.2273 0.2047
B6 0.2301 0.2301 0.7110
B7 0.3753 0.3753 0.5005
B8 0.4294 0.4294 0.1078
B9 0.5706 0.5706 0.8922
B10 0.6247 0.6247 0.4995
B11 0.7699 0.7699 0.2890
B12 0.7727 0.7727 0.7953
B13 0.8328 0.8328 0.4150
B14 0.8382 0.8382 0.9267
B15 0.9649 0.9649 0.6804
B16 0.9699 0.9699 0.1881
C1 0.3691 0.3691 0.9887
C2 0.4337 0.4337 0.6170
C3 0.5663 0.5663 0.3830
C4 0.6309 0.6309 0.0113

***

Record 4
Structure and theoretical X-ray powder pattern of Na10B17C3 (a GGA-PBE-relaxed structure; Cu Kα X-rays).

The 10 most intense peaks (2θ = 10–90°), sorted by position:
| Position (°2θ) | d_spacing | I_rel |
| --- | --- | --- |
| 34.66 | 2.588 | 22 |
| 35.10 | 2.557 | 19 |
| 35.34 | 2.540 | 18 |
| 40.62 | 2.221 | 99 |
| 41.01 | 2.201 | 100 |
| 41.22 | 2.190 | 100 |
| 41.77 | 2.163 | 72 |
| 62.24 | 1.492 | 18 |
| 62.71 | 1.482 | 17 |
| 77.78 | 1.228 | 17 |

Cell lengths 5.0806, 8.6503, 7.8457 Å; angles 90.00, 108.09, 90.00 degrees
Atoms (fractional coordinates):
Na1 0.0000 0.2490 0.0000
Na2 0.0000 0.7510 0.0000
Na3 0.1996 0.2496 0.4003
Na4 0.1996 0.7504 0.4003
Na5 0.4009 0.2502 0.8000
Na6 0.4009 0.7498 0.8000
Na7 0.5998 0.2486 0.2013
Na8 0.5998 0.7514 0.2013
Na9 0.8020 0.2497 0.6014
Na10 0.8020 0.7503 0.6014
B1 0.0633 0.5000 0.7995
B2 0.1397 0.5000 0.5979
B3 0.1505 0.0000 0.6123
B4 0.2616 0.5000 0.1957
B5 0.2763 0.0000 0.2072
B6 0.3064 0.0000 0.9812
B7 0.3384 0.5000 0.0029
B8 0.4929 0.5000 0.6180
B9 0.5199 0.5000 0.3977
B10 0.5332 0.0000 0.4148
B11 0.6602 0.0000 0.0000
B12 0.6719 0.5000 0.9828
B13 0.7325 0.0000 0.7882
B14 0.8697 0.5000 0.4076
B15 0.8778 0.0000 0.4067
B16 0.9175 0.5000 0.2004
B17 0.9247 0.0000 0.1944
C1 0.0600 0.0000 0.7973
C2 0.4694 0.0000 0.6059
C3 0.7432 0.5000 0.8002